The following is a theoretical PXRD pattern of TaZn2MoO6. It was derived from the GGA+U geometry in Alexandria, using copper Kα.

```
data_TaZn2MoO6
_chemical_formula_sum 'Ta2 Zn4 Mo2 O12'
_cell_length_a 5.393
_cell_length_b 7.842
_cell_length_c 5.402
_cell_angle_alpha 90.00
_cell_angle_beta 91.74
_cell_angle_gamma 90.00
_space_group_name_H-M_alt 'P 1'
_space_group_IT_number 1
loop_
_space_group_symop_operation_xyz
'x,y,z'
loop_
_atom_site_label
_atom_site_fract_x
_atom_site_fract_y
_atom_site_fract_z
Ta1 0.000 0.000 0.000
Ta2 0.000 0.500 0.000
Zn1 0.031 0.250 0.505
Zn2 0.484 0.750 0.021
Zn3 0.516 0.250 0.979
Zn4 0.969 0.750 0.495
Mo1 0.500 0.000 0.500
Mo2 0.500 0.500 0.500
O1 0.077 0.750 0.121
O2 0.161 0.566 0.686
O3 0.161 0.934 0.686
O4 0.320 0.068 0.153
O5 0.320 0.432 0.153
O6 0.397 0.250 0.623
O7 0.603 0.750 0.377
O8 0.680 0.568 0.847
O9 0.680 0.932 0.847
O10 0.839 0.066 0.314
O11 0.839 0.434 0.314
O12 0.923 0.250 0.879
```

Most intense lines, 5 to 70 degrees two-theta, low angle first:
- hkl 0 0 1, 16.43 deg, rel. 24.0
- hkl 1 2 -1, 32.49 deg, rel. 100.0
- hkl 1 2 1, 33.01 deg, rel. 95.9
- hkl 2 0 0, 33.21 deg, rel. 94.7
- hkl 0 4 0, 46.31 deg, rel. 24.3
- hkl 2 4 0, 58.17 deg, rel. 44.5
- hkl 1 2 -3, 58.55 deg, rel. 45.9
- hkl 1 2 3, 59.54 deg, rel. 42.9